Li7Ni10O20: theoretical powder diffractogram (copper Kα), based on a crystal structure in the Materials Project, relaxed with GGA+U.

Main lines, by angle (10° ≤ 2θ ≤ 90°):
2θ/deg  I/Imax
18.57  1000
36.64  131
37.02  242
37.66  52
38.59  86
44.21  198
44.68  384
48.64  118
58.71  96
64.21  153
65.16  105
65.81  52

Structural model:
```
37
Lattice="4.8436 -7.0958 0.0000 4.8436 7.0958 0.0000 -0.8225 0.0000 4.9055" Properties=species:S:1:pos:R:3 pbc="T T T"
Li 0.0000 0.0000 0.0000
Li 4.4323 5.5877 2.4528
Li 4.4323 2.8369 2.4528
Li 4.8436 1.4096 0.0000
Li 4.8436 -1.4096 0.0000
Li 4.4323 -2.8369 2.4528
Li 4.4323 -5.5877 2.4528
Ni 1.7976 2.8272 3.7064
Ni 2.1898 1.4136 1.2374
Ni 1.8143 0.0000 3.6913
Ni 2.1898 -1.4136 1.2374
Ni 1.7976 -2.8272 3.7064
Ni 7.0670 2.8272 1.1991
Ni 6.6748 1.4136 3.6681
Ni 7.0503 0.0000 1.2142
Ni 6.6748 -1.4136 3.6681
Ni 7.0670 -2.8272 1.1991
O 0.6113 1.2941 4.2346
O 2.9685 4.2928 2.9213
O 1.1122 0.0000 1.9116
O 3.3012 2.7819 0.6071
O 0.6113 -1.2941 4.2346
O 2.9505 1.4409 3.1662
O 5.8961 4.2928 1.9842
O 3.3362 0.0000 0.4936
O 5.5634 2.7819 4.2984
O 2.9505 -1.4409 3.1662
O 5.9140 1.4409 1.7394
O 3.3012 -2.7819 0.6071
O 5.5283 0.0000 4.4119
O 2.9685 -4.2928 2.9213
O 5.9140 -1.4409 1.7394
O 8.2533 1.2941 0.6710
O 5.5634 -2.7819 4.2984
O 7.7523 0.0000 2.9940
O 5.8961 -4.2928 1.9842
O 8.2533 -1.2941 0.6710
```

***

Li2Ni5O7: theoretical powder diffractogram (copper Kα), based on a crystal structure in the Materials Project, relaxed with GGA+U.

Main lines, by angle (10° ≤ 2θ ≤ 90°):
2θ/deg  I/Imax
21.90  351
23.72  702
37.52  758
37.63  748
43.25  1000
43.65  959
44.09  941
62.99  289
63.27  276
63.48  574
63.78  533
80.07  264

Structural model:
```
14
Lattice="4.6529 -2.0538 0.0000 4.6529 2.0538 0.0000 -0.9923 0.0000 6.5272" Properties=species:S:1:pos:R:3 pbc="T T T"
Li 0.4062 0.0000 1.4278
Li 7.9072 0.0000 5.0994
Ni 1.3853 0.0000 4.2023
Ni 3.2844 0.0000 0.4584
Ni 4.1567 0.0000 3.2636
Ni 5.0290 0.0000 6.0688
Ni 6.9281 0.0000 2.3249
O -0.4962 0.0000 3.2636
O 0.5328 0.0000 6.0300
O 2.3507 0.0000 2.3642
O 3.2384 0.0000 5.1410
O 5.0750 0.0000 1.3861
O 5.9627 0.0000 4.1630
O 7.7806 0.0000 0.4972
```

***

Li7Ni9O16: theoretical powder diffractogram (copper Kα), based on a crystal structure in the Materials Project, relaxed with GGA+U.

Main lines, by angle (10° ≤ 2θ ≤ 90°):
2θ/deg  I/Imax
18.75  1000
19.44  212
20.96  191
38.08  587
38.13  193
43.75  714
44.40  695
44.66  681
64.04  193
64.16  189
64.31  378
64.88  185

Structural model:
```
32
Lattice="4.9971 0.0000 0.0000 1.6234 5.5150 0.0000 2.3504 2.2767 9.9460" Properties=species:S:1:pos:R:3 pbc="T T T"
Li 0.0000 0.0000 0.0000
Li 3.2766 2.0144 1.2616
Li 4.0640 1.7510 6.2184
Li 4.0803 3.2521 3.7008
Li 4.8906 4.5395 6.2453
Li 4.9069 6.0406 3.7276
Li 5.6942 5.7772 8.6845
Ni 0.8117 2.7575 0.0000
Ni 0.7847 1.2473 2.4525
Ni 1.5830 2.5128 4.9695
Ni 1.6213 3.9981 2.4810
Ni 4.8533 3.0113 8.7359
Ni 4.1176 4.7803 1.2102
Ni 7.3496 3.7935 7.4651
Ni 7.3879 5.2788 4.9766
Ni 8.1862 6.5443 7.4935
O 3.0736 3.5964 5.6666
O 3.9170 6.3298 5.5401
O 2.3620 2.3624 3.0789
O 3.8948 4.7209 8.0624
O 2.3859 3.7683 0.7884
O 3.1510 2.1654 7.9765
O 3.1381 4.9524 3.0571
O 1.6765 1.0120 0.6209
O 7.2943 6.7796 9.3252
O 5.8328 2.8393 6.8889
O 5.8199 5.6262 1.9696
O 6.5849 4.0233 9.1576
O 5.0761 3.0707 1.8836
O 6.6089 5.4292 6.8671
O 5.0539 1.4618 4.4059
O 5.8972 4.1952 4.2794
```

***

LiNi9O13: theoretical powder diffractogram (copper Kα), based on a crystal structure in the Materials Project, relaxed with GGA+U.

Main lines, by angle (10° ≤ 2θ ≤ 90°):
2θ/deg  I/Imax
10.68  1000
18.30  183
34.76  244
35.12  195
36.62  195
40.03  173
42.10  156
42.78  136
43.34  210
44.44  138
45.23  318
64.11  209

Structural model:
```
23
Lattice="4.9078 -1.4523 0.0000 4.9078 1.4523 0.0000 -2.6412 0.0000 16.5741" Properties=species:S:1:pos:R:3 pbc="T T T"
Li 0.0000 0.0000 0.0000
Ni -1.1277 0.0000 11.8449
Ni 1.5615 0.0000 4.7968
Ni 1.5417 0.0000 10.4364
Ni 4.1901 0.0000 6.0279
Ni 4.1603 0.0000 9.2370
Ni 3.5548 0.0000 14.5816
Ni 6.2125 0.0000 1.9899
Ni 6.0873 0.0000 13.1406
Ni 8.7476 0.0000 3.4106
O 0.0184 0.0000 1.8331
O 0.4637 0.0000 6.4788
O 0.4389 0.0000 8.8059
O -0.2086 0.0000 13.6781
O 2.4371 0.0000 2.8854
O 2.3697 0.0000 12.2805
O 3.2775 0.0000 7.6045
O 5.0840 0.0000 4.2989
O 6.5476 0.0000 0.0036
O 5.0983 0.0000 11.0901
O 7.8688 0.0000 5.2077
O 7.8661 0.0000 9.9843
O 7.1854 0.0000 14.7446
```